# CePm2TlN
Simulated powder XRD pattern, a wavelength of 1.5418 Å. Input: a cell relaxed with GGA-PBE.
Lines closer than 0.1° are merged.

Structure:
```
CePm2TlN
1.0
5.032 0.000 0.000
0.000 5.032 0.000
0.000 0.000 4.854
Ce Pm Tl N
1 2 1 1
direct
0.000 0.000 0.000
0.000 0.500 0.500
0.500 0.000 0.500
0.500 0.500 0.000
0.000 0.000 0.500
```

Top 10 peaks for 10° ≤ 2θ ≤ 90°, by intensity:
h k l	2theta	I_rel
1 1 1	31.2	100
2 0 0	35.7	38
3 1 1	61.3	30
2 0 2	52.4	25
0 0 2	37.0	17
1 1 3	63.1	14
2 2 0	51.4	13
2 2 2	65.0	13
3 1 3	85.6	12
3 3 1	84.0	6